Structure and theoretical X-ray diffraction stick pattern of CrNi6O8 (a structure optimized by DFT (PBE+U); a wavelength of 1.5418 Å).
Peak positions follow from Bragg's law for the DFT cell and can differ from measured ones.

Most intense lines, 2θ = 15–90°, low angle first:
two_theta  Rel. int.
27.06  58
35.82  57
36.11  45
42.89  52
43.52  100
59.23  31

Crystal structure
```
CrNi6O8
1.0
2.703 -4.675 0.000
2.703 4.675 0.000
-0.119 0.000 6.590
Cr Ni O
1 6 8
Cartesian
0.000 0.000 0.000
0.935 1.747 4.584
0.935 -1.747 4.584
1.997 0.000 2.005
3.291 0.000 4.585
4.353 1.747 2.007
4.353 -1.747 2.007
1.846 3.341 5.412
3.441 3.341 1.179
1.452 0.000 5.357
2.644 1.569 3.295
2.644 -1.569 3.295
3.836 0.000 1.234
1.846 -3.341 5.412
3.441 -3.341 1.179
```